The following is a simulated X-ray powder pattern of Pa3CrGa12. It was derived from a structure optimized by DFT (GGA-PBE), using Cu Kα (λ = 1.5418 Å).
Kinematic intensities with the Lorentz-polarization factor, no thermal factor.

Principal peaks in the range 15° ≤ 2θ ≤ 90°, in order of rising 2θ:
two_theta  d_spacing  intensity
20.78  4.274  16
30.14  2.965  14
33.86  2.647  9
36.91  2.436  100
42.29  2.137  37
44.01  2.057  16
61.35  1.511  12
62.69  1.482  19
73.79  1.284  26
78.55  1.218  9

Structure:
Cell lengths 4.2743, 4.2743, 16.4532 Å; angles 90.00, 90.00, 90.00 degrees
Space group P4/mmm (No. 123)
Unique sites:
1 Pa 0.0000 0.0000 0.0000 x1
2 Pa 0.0000 0.0000 0.2638 x2
3 Cr 0.0000 0.0000 0.5000 x1
4 Ga 0.0000 0.5000 0.1316 x4
5 Ga 0.0000 0.5000 0.3935 x4
6 Ga 0.5000 0.5000 0.0000 x1
7 Ga 0.5000 0.5000 0.2566 x2
8 Ga 0.5000 0.5000 0.5000 x1